Record 1
The following is a calculated powder diffraction line list of ZnPd2. It was derived from a GGA-PBE-relaxed structure, using Cu Ka.

Structure:
a = 5.408 Å, b = 4.227 Å, c = 7.838 Å
α = 90.00°, β = 90.00°, γ = 90.00°
Space group Pnma (No. 62)
Unique sites:
Zn  0.191  0.250  0.099
Pd  0.036  0.250  0.774
Pd  0.179  0.250  0.431

The 10 most intense peaks (10 to 90 degrees two-theta), most intense first:
(0 1 3), 40.58 deg, I = 100; (2 1 1), 41.28 deg, I = 48; (0 2 0), 42.78 deg, I = 37; (2 1 0), 39.57 deg, I = 36; (2 0 3), 48.45 deg, I = 18; (2 2 2), 60.40 deg, I = 15; (2 2 3), 66.60 deg, I = 13; (0 3 3), 76.87 deg, I = 11; (4 1 2), 78.13 deg, I = 9; (2 3 1), 77.33 deg, I = 7

***

Record 2
The following is a calculated powder diffraction line list of Nd2Ti12Cu9O36. It was derived from a GGA-PBE-relaxed structure, using Cu Ka.

Structure:
a = 10.5368 Å, b = 10.5368 Å, c = 6.4741 Å
α = 90.00°, β = 90.00°, γ = 120.00°
Space group P-3 (No. 147)
Unique sites:
Nd  0.3333  0.6667  0.3290
Ti  0.0000  0.0000  0.5000
Ti  0.0000  0.5000  0.5000
Ti  0.1577  0.3179  0.1631
Ti  0.3333  0.6667  0.8404
Cu  0.0000  0.5000  0.0000
Cu  0.1672  0.8324  0.6638
O  0.0176  0.1638  0.3291
O  0.0436  0.2680  0.9131
O  0.0744  0.4490  0.2509
O  0.1158  0.7080  0.4154
O  0.1748  0.5250  0.6496
O  0.1922  0.6841  0.0146

The 10 most intense peaks (10 to 90 degrees two-theta), most intense first:
(0 2 2), 33.99 deg, I = 100; (2 4 2), 60.88 deg, I = 36; (4 0 2), 48.84 deg, I = 28; (2 0 4), 60.71 deg, I = 12; (2 1 2), 38.15 deg, I = 8; (6 -2 4), 81.57 deg, I = 8; (6 2 2), 81.70 deg, I = 8; (0 4 1), 41.99 deg, I = 7; (0 4 4), 71.47 deg, I = 6; (2 0 1), 23.86 deg, I = 6

***

Record 3
The following is a calculated powder diffraction line list of Rb3Bi2I9. It was derived from a GGA-PBE-relaxed structure, using Cu Ka.

Structure:
a = 15.091 Å, b = 8.454 Å, c = 25.947 Å
α = 90.00°, β = 123.94°, γ = 90.00°
Space group Pc (No. 7)
Unique sites:
Rb  0.000  0.218  0.000
Rb  0.074  0.278  0.788
Rb  0.347  0.226  0.672
Rb  0.405  0.268  0.451
Rb  0.666  0.234  0.335
Rb  0.729  0.273  0.116
Bi  0.208  0.244  0.232
Bi  0.364  0.242  0.053
Bi  0.714  0.259  0.734
Bi  0.864  0.259  0.552
I  0.091  0.069  0.645
I  0.128  0.169  0.312
I  0.191  0.445  0.953
I  0.228  0.048  0.509
I  0.274  0.343  0.137
I  0.316  0.460  0.803
I  0.407  0.053  0.310
I  0.456  0.176  0.979
I  0.516  0.439  0.611
I  0.561  0.060  0.177
I  0.623  0.322  0.809
I  0.664  0.451  0.477
I  0.753  0.034  0.979
I  0.801  0.157  0.649
I  0.848  0.449  0.277
I  0.889  0.059  0.835
I  0.941  0.338  0.472
I  0.981  0.429  0.138

The 10 most intense peaks (10 to 90 degrees two-theta), most intense first:
(2 2 2), 29.17 deg, I = 100; (2 0 -4), 14.49 deg, I = 97; (4 0 -8), 29.30 deg, I = 70; (6 2 -6), 41.81 deg, I = 51; (3 3 -3), 36.56 deg, I = 47; (3 1 -6), 24.30 deg, I = 46; (0 0 6), 24.81 deg, I = 44; (3 1 3), 32.04 deg, I = 42; (2 2 -1), 24.44 deg, I = 41; (1 1 -11), 44.03 deg, I = 38

***

Record 4
The following is a calculated powder diffraction line list of Sr2Li7CuN4. It was derived from a GGA-PBE-relaxed structure, using Cu Ka.

Structure:
a = 3.744 Å, b = 3.856 Å, c = 27.291 Å
α = 90.00°, β = 90.00°, γ = 90.00°
Space group Imm2 (No. 44)
Unique sites:
Sr  0.000  0.000  0.000
Sr  0.000  0.500  0.250
Li  0.000  0.000  0.102
Li  0.000  0.000  0.429
Li  0.000  0.000  0.572
Li  0.000  0.000  0.897
Li  0.000  0.500  0.145
Li  0.000  0.500  0.353
Li  0.000  0.500  0.821
Cu  0.000  0.500  0.679
N  0.000  0.000  0.181
N  0.000  0.000  0.818
N  0.000  0.500  0.067
N  0.000  0.500  0.432

The 10 most intense peaks (10 to 90 degrees two-theta), most intense first:
(0 0 4), 12.98 deg, I = 100; (1 1 2), 34.02 deg, I = 81; (0 1 5), 28.34 deg, I = 74; (0 1 1), 23.30 deg, I = 46; (1 0 5), 28.92 deg, I = 37; (1 0 7), 33.17 deg, I = 35; (0 1 7), 32.66 deg, I = 35; (1 1 10), 47.49 deg, I = 31; (1 0 3), 25.73 deg, I = 30; (1 0 9), 38.19 deg, I = 24

***

Record 5
The following is a calculated powder diffraction line list of Hf27P16. It was derived from a GGA-PBE-relaxed structure, using Cu Ka.

Structure:
a = 3.544 Å, b = 18.645 Å, c = 23.076 Å
α = 90.00°, β = 90.00°, γ = 90.00°
Space group Immm (No. 71)
Unique sites:
Hf  0.000  0.000  0.000
Hf  0.000  0.131  0.391
Hf  0.000  0.133  0.183
Hf  0.000  0.246  0.071
Hf  0.000  0.314  0.215
Hf  0.000  0.407  0.420
Hf  0.000  0.416  0.000
Hf  0.000  0.500  0.147
Hf  0.000  0.500  0.285
P  0.000  0.000  0.125
P  0.000  0.000  0.440
P  0.000  0.076  0.285
P  0.000  0.139  0.000
P  0.000  0.191  0.500
P  0.000  0.269  0.343

The 10 most intense peaks (10 to 90 degrees two-theta), most intense first:
(1 2 7), 38.53 deg, I = 100; (1 4 5), 37.36 deg, I = 92; (1 5 2), 35.81 deg, I = 78; (0 7 5), 39.04 deg, I = 56; (1 0 5), 31.84 deg, I = 45; (2 0 0), 51.58 deg, I = 40; (0 3 9), 37.96 deg, I = 37; (0 6 2), 29.78 deg, I = 36; (1 4 1), 31.96 deg, I = 36; (2 7 5), 66.54 deg, I = 23

***

Record 6
The following is a calculated powder diffraction line list of LaAs2Au. It was derived from a GGA-PBE-relaxed structure, using Cu Ka.

Structure:
a = 5.921 Å, b = 20.992 Å, c = 5.877 Å
α = 90.00°, β = 90.00°, γ = 90.00°
Space group Fmm2 (No. 42)
Unique sites:
La  0.000  0.118  0.000
As  0.000  0.162  0.500
As  0.216  0.000  0.270
Au  0.250  0.250  0.243

The 10 most intense peaks (10 to 90 degrees two-theta), most intense first:
(0 4 2), 35.00 deg, I = 100; (2 4 0), 34.79 deg, I = 100; (2 0 2), 43.39 deg, I = 61; (0 8 0), 34.17 deg, I = 38; (2 8 2), 56.35 deg, I = 35; (1 5 1), 30.20 deg, I = 31; (4 4 2), 73.94 deg, I = 28; (2 4 4), 74.30 deg, I = 21; (1 9 1), 44.51 deg, I = 19; (2 12 0), 61.58 deg, I = 17